Entry 1:
Diffraction record for FeSb3Pb4O13. The powder diffraction line list is calculated, not measured: it uses a cell relaxed with GGA+U and copper Kα.

a = 7.495 Å, b = 7.495 Å, c = 7.495 Å
α = 60.48°, β = 60.48°, γ = 60.48°
Atoms (fractional coordinates):
Fe (0.000, 0.000, 0.000)
Sb (0.498, 0.999, 0.999)
Sb (0.999, 0.498, 0.999)
Sb (0.999, 0.999, 0.498)
Pb (0.500, 0.500, 0.996)
Pb (0.500, 0.996, 0.500)
Pb (0.502, 0.502, 0.502)
Pb (0.996, 0.500, 0.500)
O (0.073, 0.073, 0.670)
O (0.073, 0.670, 0.073)
O (0.074, 0.677, 0.677)
O (0.320, 0.320, 0.925)
O (0.320, 0.925, 0.320)
O (0.325, 0.928, 0.928)
O (0.376, 0.376, 0.376)
O (0.670, 0.073, 0.073)
O (0.677, 0.074, 0.677)
O (0.677, 0.677, 0.074)
O (0.925, 0.320, 0.320)
O (0.928, 0.325, 0.928)
O (0.928, 0.928, 0.325)

Peak list (10 most intense, 5 to 70 degrees two-theta, most intense first)
2θ 29.0, I = 1000; 2θ 33.7, I = 507; 2θ 29.3, I = 323; 2θ 57.4, I = 295; 2θ 48.2, I = 295; 2θ 48.6, I = 282; 2θ 57.3, I = 150; 2θ 57.8, I = 146; 2θ 60.1, I = 118; 2θ 14.4, I = 108



Entry 2:
Diffraction record for Pr2FePdO6. The powder diffraction line list is calculated, not measured: it uses a cell relaxed with GGA+U and copper Kα.

a = 5.537 Å, b = 5.944 Å, c = 9.544 Å
α = 90.00°, β = 125.07°, γ = 90.00°
Atoms (fractional coordinates):
Pr (0.231, 0.072, 0.250)
Pr (0.231, 0.428, 0.750)
Pr (0.769, 0.572, 0.250)
Pr (0.769, 0.928, 0.750)
Fe (0.500, 0.000, 0.000)
Fe (0.500, 0.500, 0.500)
Pd (0.000, 0.000, 0.500)
Pd (0.000, 0.500, 0.000)
O (0.159, 0.182, 0.950)
O (0.159, 0.318, 0.450)
O (0.257, 0.702, 0.949)
O (0.257, 0.798, 0.449)
O (0.354, 0.031, 0.752)
O (0.354, 0.469, 0.252)
O (0.646, 0.531, 0.748)
O (0.646, 0.969, 0.248)
O (0.743, 0.202, 0.551)
O (0.743, 0.298, 0.051)
O (0.841, 0.682, 0.550)
O (0.841, 0.818, 0.050)

Peak list (10 most intense, 5 to 70 degrees two-theta, most intense first)
2θ 31.9, I = 1000; 2θ 31.7, I = 993; 2θ 32.3, I = 500; 2θ 30.1, I = 405; 2θ 44.7, I = 373; 2θ 57.5, I = 370; 2θ 50.3, I = 339; 2θ 46.5, I = 283; 2θ 46.4, I = 252; 2θ 32.2, I = 242



Entry 3:
Diffraction record for PuFe2PdO8. The powder diffraction line list is calculated, not measured: it uses a cell relaxed with GGA+U and copper Kα.

a = 5.828 Å, b = 5.828 Å, c = 5.828 Å
α = 110.50°, β = 110.50°, γ = 107.44°
Atoms (fractional coordinates):
Pu (0.000, 0.000, 0.000)
Fe (0.250, 0.750, 0.500)
Fe (0.500, 0.500, 0.000)
Pd (0.750, 0.250, 0.500)
O (0.066, 0.364, 0.298)
O (0.066, 0.768, 0.702)
O (0.100, 0.295, 0.806)
O (0.232, 0.934, 0.298)
O (0.489, 0.295, 0.194)
O (0.636, 0.934, 0.702)
O (0.705, 0.511, 0.806)
O (0.705, 0.900, 0.194)

Peak list (10 most intense, 5 to 70 degrees two-theta, most intense first)
2θ 32.2, I = 1000; 2θ 26.8, I = 992; 2θ 18.5, I = 743; 2θ 50.9, I = 700; 2θ 38.3, I = 218; 2θ 32.8, I = 216; 2θ 65.5, I = 192; 2θ 60.5, I = 190; 2θ 55.3, I = 164; 2θ 41.6, I = 155



Entry 4:
Diffraction record for Rb2FePdO4. The powder diffraction line list is calculated, not measured: it uses a cell relaxed with GGA+U and copper Kα.

a = 11.733 Å, b = 10.103 Å, c = 7.177 Å
α = 83.70°, β = 58.86°, γ = 37.44°
Atoms (fractional coordinates):
Rb (0.053, 0.053, 0.697)
Rb (0.303, 0.303, 0.947)
Rb (0.697, 0.697, 0.053)
Rb (0.947, 0.947, 0.303)
Fe (0.375, 0.375, 0.375)
Fe (0.625, 0.625, 0.625)
Pd (0.125, 0.125, 0.125)
Pd (0.875, 0.875, 0.875)
O (0.012, 0.683, 0.544)
O (0.260, 0.544, 0.683)
O (0.317, 0.988, 0.740)
O (0.456, 0.740, 0.988)
O (0.544, 0.260, 0.012)
O (0.683, 0.012, 0.260)
O (0.740, 0.456, 0.317)
O (0.988, 0.317, 0.456)

Peak list (10 most intense, 5 to 70 degrees two-theta, most intense first)
2θ 30.8, I = 1000; 2θ 34.6, I = 646; 2θ 18.3, I = 555; 2θ 27.0, I = 512; 2θ 51.1, I = 509; 2θ 17.7, I = 436; 2θ 34.7, I = 344; 2θ 16.2, I = 314; 2θ 42.5, I = 302; 2θ 52.8, I = 282



Entry 5:
Diffraction record for Sr2FePdO5. The powder diffraction line list is calculated, not measured: it uses a cell relaxed with GGA+U and copper Kα.

a = 7.233 Å, b = 7.233 Å, c = 10.193 Å
α = 90.00°, β = 90.00°, γ = 151.77°
Atoms (fractional coordinates):
Sr (0.113, 0.887, 0.500)
Sr (0.134, 0.866, 0.131)
Sr (0.866, 0.134, 0.631)
Sr (0.887, 0.113, 0.000)
Fe (0.437, 0.563, 0.274)
Fe (0.563, 0.437, 0.774)
Pd (0.211, 0.789, 0.844)
Pd (0.789, 0.211, 0.344)
O (0.058, 0.942, 0.859)
O (0.288, 0.712, 0.462)
O (0.309, 0.691, 0.198)
O (0.355, 0.645, 0.824)
O (0.500, 0.500, 0.114)
O (0.500, 0.500, 0.614)
O (0.645, 0.355, 0.324)
O (0.691, 0.309, 0.698)
O (0.712, 0.288, 0.962)
O (0.942, 0.058, 0.359)

Peak list (10 most intense, 5 to 70 degrees two-theta, most intense first)
2θ 37.3, I = 1000; 2θ 29.2, I = 747; 2θ 33.0, I = 519; 2θ 39.5, I = 453; 2θ 44.9, I = 440; 2θ 31.8, I = 417; 2θ 55.7, I = 347; 2θ 31.5, I = 316; 2θ 51.8, I = 295; 2θ 31.0, I = 285



Entry 6:
Diffraction record for Tl2FePdO4. The powder diffraction line list is calculated, not measured: it uses a cell relaxed with GGA+U and copper Kα.

a = 10.831 Å, b = 9.396 Å, c = 6.793 Å
α = 82.30°, β = 59.28°, γ = 38.43°
Atoms (fractional coordinates):
Tl (0.040, 0.040, 0.710)
Tl (0.290, 0.290, 0.960)
Tl (0.710, 0.710, 0.040)
Tl (0.960, 0.960, 0.290)
Fe (0.375, 0.375, 0.375)
Fe (0.625, 0.625, 0.625)
Pd (0.125, 0.125, 0.125)
Pd (0.875, 0.875, 0.875)
O (0.034, 0.711, 0.503)
O (0.252, 0.503, 0.711)
O (0.289, 0.966, 0.748)
O (0.497, 0.748, 0.966)
O (0.503, 0.252, 0.034)
O (0.711, 0.034, 0.252)
O (0.748, 0.497, 0.289)
O (0.966, 0.289, 0.497)

Peak list (10 most intense, 5 to 70 degrees two-theta, most intense first)
2θ 33.5, I = 1000; 2θ 22.5, I = 994; 2θ 34.0, I = 865; 2θ 17.5, I = 859; 2θ 53.1, I = 604; 2θ 29.1, I = 540; 2θ 30.6, I = 453; 2θ 43.4, I = 370; 2θ 27.1, I = 335; 2θ 54.8, I = 264